No. 1
# Th4Sb2OsSe
Simulated XRD peak list, a wavelength of 1.5418 Å. Input: a DFT-relaxed cell (GGA-PBE, Alexandria).

Peak list (12 most intense, 10° ≤ 2θ ≤ 90°, sorted by position)
Position (°2θ)  Rel. int.
25.3  11
28.7  53
29.0  100
40.6  17
40.9  37
41.6  38
42.3  20
51.1  9
51.9  23
60.1  12
66.9  13
69.3  10

Atomic structure:
Cell lengths 7.5648, 4.2723, 7.7315 Å; angles 90.00, 108.99, 90.00 degrees
Element x y z (fractional)
1 Th 0.2174 0.0000 0.2122
2 Th 0.2458 0.5000 0.7735
3 Th 0.7542 0.5000 0.2265
4 Th 0.7826 0.0000 0.7878
5 Sb 0.0000 0.0000 0.5000
6 Sb 0.5000 0.5000 0.5000
7 Os 0.0000 0.5000 0.0000
8 Se 0.5000 0.0000 0.0000



No. 2
# Sm12Sb6Os
Simulated XRD peak list, a wavelength of 1.5418 Å. Input: a DFT-relaxed cell (GGA-PBE, Alexandria).

Peak list (12 most intense, 10° ≤ 2θ ≤ 90°, sorted by position)
Position (°2θ)  Rel. int.
21.0  18
21.6  59
25.0  26
29.8  42
31.5  100
31.8  21
35.5  74
35.7  54
36.9  41
42.1  28
46.2  21
52.0  22

Atomic structure:
Cell lengths 8.7310, 8.7310, 8.7310 Å; angles 99.38, 99.38, 99.38 degrees
Element x y z (fractional)
1 Sm 0.0122 0.9430 0.6851
2 Sm 0.0570 0.3149 0.9878
3 Sm 0.1946 0.5540 0.4196
4 Sm 0.3149 0.9878 0.0570
5 Sm 0.4196 0.1946 0.5540
6 Sm 0.4460 0.5804 0.8054
7 Sm 0.5540 0.4196 0.1946
8 Sm 0.5804 0.8054 0.4460
9 Sm 0.6851 0.0122 0.9430
10 Sm 0.8054 0.4460 0.5804
11 Sm 0.9430 0.6851 0.0122
12 Sm 0.9878 0.0570 0.3149
13 Sb 0.1225 0.3138 0.6434
14 Sb 0.3138 0.6434 0.1225
15 Sb 0.3566 0.8775 0.6862
16 Sb 0.6434 0.1225 0.3138
17 Sb 0.6862 0.3566 0.8775
18 Sb 0.8775 0.6862 0.3566
19 Os 0.0000 0.0000 0.0000



No. 3
# Tb5Sb2Os
Simulated XRD peak list, a wavelength of 1.5418 Å. Input: a DFT-relaxed cell (GGA-PBE, Alexandria).

Peak list (12 most intense, 10° ≤ 2θ ≤ 90°, sorted by position)
Position (°2θ)  Rel. int.
29.3  15
30.9  62
32.9  40
33.7  100
37.8  27
40.0  9
43.1  11
46.4  23
56.3  10
56.8  16
59.6  12
63.3  13

Atomic structure:
Cell lengths 5.4143, 5.4143, 16.3634 Å; angles 90.00, 90.00, 115.45 degrees
Element x y z (fractional)
1 Tb 0.0565 0.9435 0.5948
2 Tb 0.0565 0.9435 0.9052
3 Tb 0.2568 0.7432 0.2500
4 Tb 0.3886 0.6114 0.6444
5 Tb 0.3886 0.6114 0.8556
6 Tb 0.6114 0.3886 0.1444
7 Tb 0.6114 0.3886 0.3556
8 Tb 0.7432 0.2568 0.7500
9 Tb 0.9435 0.0565 0.0948
10 Tb 0.9435 0.0565 0.4052
11 Sb 0.2873 0.7127 0.0577
12 Sb 0.2873 0.7127 0.4423
13 Sb 0.7127 0.2873 0.5577
14 Sb 0.7127 0.2873 0.9423
15 Os 0.1216 0.8784 0.7500
16 Os 0.8784 0.1216 0.2500



No. 4
# TcSbOs2
Simulated XRD peak list, a wavelength of 1.5418 Å. Input: a DFT-relaxed cell (GGA-PBE, Alexandria).

Peak list (12 most intense, 10° ≤ 2θ ≤ 90°, sorted by position)
Position (°2θ)  Rel. int.
20.3  10
36.2  7
38.2  100
41.2  26
45.3  61
50.1  3
63.9  22
68.1  17
76.9  13
78.9  24
81.7  11
82.8  10

Atomic structure:
Cell lengths 2.9146, 2.9146, 26.3021 Å; angles 90.00, 90.00, 120.00 degrees
Element x y z (fractional)
1 Tc 0.0000 0.0000 0.0000
2 Tc 0.3333 0.6667 0.6667
3 Tc 0.6667 0.3333 0.3333
4 Sb 0.0000 0.0000 0.5000
5 Sb 0.3333 0.6667 0.1667
6 Sb 0.6667 0.3333 0.8333
7 Os 0.0000 0.0000 0.2534
8 Os 0.0000 0.0000 0.7466
9 Os 0.3333 0.6667 0.4133
10 Os 0.3333 0.6667 0.9200
11 Os 0.6667 0.3333 0.0800
12 Os 0.6667 0.3333 0.5867